Starting from a structure optimized by DFT (PBE), the powder diffractogram of NaLaPd was simulated for copper Kα.
Neutral-atom scattering factors, no anomalous dispersion.

Most intense lines, 2θ from 10° to 90°, sorted by position:
- d = 3.405 Å, 26.2 deg, intensity 86
- d = 2.408 Å, 37.3 deg, intensity 100
- d = 1.966 Å, 46.2 deg, intensity 24
- d = 1.703 Å, 53.8 deg, intensity 17
- d = 1.523 Å, 60.8 deg, intensity 32
- d = 1.390 Å, 67.4 deg, intensity 34

Structure:
```
NaLaPd
1.0
0.000 3.405 3.405
3.405 0.000 3.405
3.405 3.405 0.000
Na La Pd
1 1 1
Direct
0.000 0.000 0.000 Na
0.750 0.750 0.750 La
0.250 0.250 0.250 Pd
```

Starting from a structure optimized by DFT (PBE), the powder diffractogram of Zr2FeNiSb2 was simulated for copper Kα.
Neutral-atom scattering factors, no anomalous dispersion.

Most intense lines, 2θ from 10° to 90°, sorted by position:
- d = 3.534 Å, 25.2 deg, intensity 16
- d = 3.061 Å, 29.2 deg, intensity 40
- d = 2.164 Å, 41.7 deg, intensity 100
- d = 1.767 Å, 51.7 deg, intensity 11
- d = 1.531 Å, 60.5 deg, intensity 11
- d = 1.250 Å, 76.2 deg, intensity 32

Structure:
```
Zr2FeNiSb2
1.0
-3.063 3.063 6.114
3.063 -3.063 6.114
3.063 3.063 -6.114
Zr Fe Ni Sb
4 2 2 4
Direct
0.121 0.125 0.496 Zr
0.375 0.879 0.004 Zr
0.629 0.625 0.504 Zr
0.875 0.371 0.996 Zr
0.000 0.000 0.000 Fe
0.750 0.250 0.500 Fe
0.250 0.750 0.500 Ni
0.500 0.500 0.000 Ni
0.120 0.625 0.995 Sb
0.375 0.370 0.495 Sb
0.630 0.125 0.005 Sb
0.875 0.880 0.505 Sb
```

Starting from a structure optimized by DFT (PBE), the powder diffractogram of LaNbBi2Ir2 was simulated for copper Kα.
Neutral-atom scattering factors, no anomalous dispersion.

Most intense lines, 2θ from 10° to 90°, sorted by position:
- d = 3.837 Å, 23.2 deg, intensity 26
- d = 3.813 Å, 23.3 deg, intensity 24
- d = 2.345 Å, 38.4 deg, intensity 100
- d = 2.328 Å, 38.7 deg, intensity 23
- d = 1.356 Å, 69.3 deg, intensity 15
- d = 1.347 Å, 69.8 deg, intensity 14

Structure:
```
LaNbBi2Ir2
1.0
4.655 0.000 0.000
0.000 9.399 0.000
0.000 0.000 6.646
La Nb Bi Ir
2 2 4 4
Direct
0.000 0.124 0.000 La
0.500 0.876 0.500 La
0.000 0.616 0.020 Nb
0.500 0.384 0.520 Nb
0.000 0.136 0.494 Bi
0.000 0.623 0.533 Bi
0.500 0.377 0.033 Bi
0.500 0.864 0.994 Bi
0.000 0.395 0.280 Ir
0.000 0.840 0.227 Ir
0.500 0.160 0.727 Ir
0.500 0.605 0.780 Ir
```